No. 1
This entry pairs a crystal structure of Li4Mn3NiP4O16 with its simulated X-ray diffraction stick pattern. Radiation: Cu Kα. Structure: a cell relaxed with PBE+U.

Structure:
```
Li4Mn3NiP4O16
1.0
4.778 0.000 0.000
0.000 6.110 0.000
-0.005 0.000 10.484
Li Mn Ni P O
4 3 1 4 16
Direct
0.000 0.249 0.000
0.000 0.751 0.000
0.498 0.251 0.509
0.498 0.749 0.509
0.479 0.500 0.225
0.524 0.000 0.782
0.974 0.000 0.286
0.020 0.500 0.725
0.084 0.000 0.597
0.411 0.000 0.096
0.591 0.500 0.905
0.914 0.500 0.418
0.212 0.000 0.461
0.214 0.204 0.667
0.214 0.796 0.667
0.235 0.500 0.412
0.269 0.500 0.898
0.277 0.202 0.165
0.277 0.798 0.165
0.289 0.000 0.958
0.705 0.500 0.044
0.732 0.000 0.100
0.732 0.299 0.836
0.732 0.701 0.836
0.762 0.000 0.598
0.778 0.299 0.348
0.778 0.701 0.348
0.795 0.500 0.556
```

Principal peaks in the range 10 to 90 degrees two-theta, in order of falling intensity:
2.561 Å, 2θ 35.0, I = 100.0
3.541 Å, 2θ 25.2, I = 88.5
3.056 Å, 2θ 29.2, I = 72.9
4.348 Å, 2θ 20.4, I = 54.4
1.771 Å, 2θ 51.6, I = 35.0
2.500 Å, 2θ 35.9, I = 28.5
5.242 Å, 2θ 16.9, I = 28.3
1.651 Å, 2θ 55.7, I = 23.6
2.821 Å, 2θ 31.7, I = 23.2
2.175 Å, 2θ 41.5, I = 19.4
3.979 Å, 2θ 22.3, I = 19.3
2.409 Å, 2θ 37.3, I = 18.9

No. 2
This entry pairs a crystal structure of Li4MnNi5P6O24 with its simulated X-ray diffraction stick pattern. Radiation: Cu Kα. Structure: a cell relaxed with PBE+U.

Structure:
```
Li4MnNi5P6O24
1.0
8.294 0.000 0.000
-3.836 7.421 0.000
-0.379 -4.766 7.150
Li Mn Ni P O
4 1 5 6 24
Direct
0.000 0.000 0.000
0.146 0.640 0.530
0.317 0.227 0.601
0.674 0.650 0.290
0.269 0.467 0.056
0.046 0.858 0.238
0.428 0.150 0.881
0.558 0.861 0.753
0.772 0.449 0.544
0.912 0.166 0.412
0.167 0.687 0.863
0.341 0.376 0.362
0.484 0.963 0.446
0.646 0.626 0.932
0.860 0.366 0.142
0.969 0.945 0.650
0.008 0.362 0.040
0.015 0.474 0.673
0.087 0.809 0.994
0.176 0.195 0.379
0.186 0.142 0.769
0.267 0.292 0.148
0.276 0.639 0.968
0.299 0.956 0.399
0.309 0.841 0.811
0.349 0.583 0.496
0.471 0.749 0.310
0.518 0.481 0.002
0.518 0.652 0.823
0.525 0.026 0.652
0.536 0.404 0.397
0.657 0.168 0.006
0.658 0.133 0.431
0.701 0.490 0.780
0.811 0.847 0.107
0.839 0.951 0.771
0.865 0.574 0.202
0.909 0.955 0.482
0.912 0.357 0.314
0.966 0.737 0.582
```

Principal peaks in the range 10 to 90 degrees two-theta, in order of falling intensity:
4.321 Å, 2θ 20.6, I = 100.0
4.294 Å, 2θ 20.7, I = 67.7
3.548 Å, 2θ 25.1, I = 52.4
2.740 Å, 2θ 32.7, I = 40.0
2.488 Å, 2θ 36.1, I = 39.8
2.761 Å, 2θ 32.4, I = 36.6
2.481 Å, 2θ 36.2, I = 32.8
2.691 Å, 2θ 33.3, I = 32.6
2.664 Å, 2θ 33.6, I = 32.4
1.835 Å, 2θ 49.7, I = 32.2
2.501 Å, 2θ 35.9, I = 30.4
3.755 Å, 2θ 23.7, I = 28.5

No. 3
This entry pairs a crystal structure of Li4MnNi3P4O16 with its simulated X-ray diffraction stick pattern. Radiation: Cu Kα. Structure: a cell relaxed with PBE+U.

Structure:
```
Li4MnNi3P4O16
1.0
4.744 0.000 0.000
0.000 5.982 0.000
-0.002 0.000 10.268
Li Mn Ni P O
4 1 3 4 16
Direct
0.000 0.249 0.000
0.000 0.751 0.000
0.496 0.250 0.509
0.496 0.750 0.509
0.516 0.500 0.227
0.014 0.000 0.283
0.482 0.000 0.778
0.979 0.500 0.727
0.077 0.500 0.417
0.414 0.500 0.904
0.587 0.000 0.097
0.916 0.000 0.599
0.202 0.500 0.557
0.211 0.293 0.346
0.211 0.707 0.346
0.239 0.000 0.604
0.263 0.000 0.106
0.276 0.293 0.834
0.276 0.707 0.834
0.293 0.500 0.045
0.698 0.000 0.955
0.731 0.204 0.167
0.731 0.796 0.167
0.738 0.500 0.901
0.754 0.500 0.415
0.776 0.205 0.670
0.776 0.795 0.670
0.795 0.000 0.458
```

Principal peaks in the range 10 to 90 degrees two-theta, in order of falling intensity:
2.518 Å, 2θ 35.7, I = 100.0
3.494 Å, 2θ 25.5, I = 94.6
2.991 Å, 2θ 29.9, I = 59.4
4.306 Å, 2θ 20.6, I = 48.9
5.134 Å, 2θ 17.3, I = 36.5
1.747 Å, 2θ 52.4, I = 35.7
2.457 Å, 2θ 36.6, I = 25.1
1.619 Å, 2θ 56.9, I = 23.7
2.776 Å, 2θ 32.3, I = 20.6
2.154 Å, 2θ 41.9, I = 20.3
3.896 Å, 2θ 22.8, I = 16.2
2.359 Å, 2θ 38.1, I = 15.6